Calculated XRD peak list
Compound: Li2MnF5
Radiation: CuKα
Structure: a cell relaxed with PBE+U

Structural model:
a b c (Å): 5.087 8.122 9.686
angles (deg): 90.00 90.00 90.00
Space group P2_12_12_1 (No. 19)
Symmetry-distinct sites (fractional):
Li 0.021 0.154 0.440 (multiplicity 4)
Li 0.040 0.617 0.740 (multiplicity 4)
Mn 0.032 0.048 0.121 (multiplicity 4)
F 0.118 0.515 0.204 (multiplicity 4)
F 0.138 0.100 0.941 (multiplicity 4)
F 0.202 0.832 0.709 (multiplicity 4)
F 0.234 0.569 0.936 (multiplicity 4)
F 0.249 0.834 0.114 (multiplicity 4)

Main lines, by angle (2θ from 15° to 90°):
2θ (°)  I (rel.)  h k l
19.71  53  1 0 1
21.36  100  0 1 2
21.89  58  0 2 0
22.57  83  1 1 1
28.12  41  1 2 0
29.62  68  1 2 1
37.64  19  1 3 0
49.22  19  1 4 1
50.94  28  2 2 3
51.73  17  1 1 5